Theoretical powder diffraction line list of NdMg4Ga2 for copper Kα, from a cell relaxed with GGA-PBE.
Neutral-atom scattering factors, no anomalous dispersion.

Structural model:
Lattice parameters (Å, degrees): 4.417 16.276 4.383 90.00 90.00 90.00
Space group Cmmm (No. 65)
Inequivalent atoms, fractional coordinates:
1 Nd 0.000 0.000 0.000 (multiplicity 2)
2 Mg 0.000 0.177 0.500 (multiplicity 4)
3 Mg 0.000 0.321 0.000 (multiplicity 4)
4 Ga 0.000 0.424 0.500 (multiplicity 4)

Peak list (12 most intense, 5 to 70 degrees two-theta, in order of rising 2θ)
10.87°, I = 100, (0 2 0); 29.23°, I = 82, (1 1 1); 29.97°, I = 28, (0 4 1); 33.20°, I = 79, (1 3 1); 34.22°, I = 32, (1 5 0); 39.05°, I = 29, (0 6 1); 40.86°, I = 24, (2 0 0); 41.19°, I = 24, (0 0 2); 44.01°, I = 22, (1 7 0); 49.38°, I = 17, (0 8 1); 54.59°, I = 16, (1 5 2); 57.80°, I = 18, (2 6 1)